Diffraction record for NdNpCr2O8. The powder diffraction line list is simulated, not measured: it uses a PBE+U-relaxed structure and Cu Ka.

The 10 most intense peaks (10° ≤ 2θ ≤ 80°), by intensity:
18.35 deg, d 4.836, I = 100.0
24.91 deg, d 3.574, I = 87.4
30.37 deg, d 2.943, I = 86.5
27.17 deg, d 3.283, I = 70.7
32.70 deg, d 2.738, I = 64.7
37.56 deg, d 2.394, I = 37.8
37.19 deg, d 2.418, I = 34.4
45.73 deg, d 1.984, I = 28.4
50.64 deg, d 1.802, I = 28.2
50.05 deg, d 1.823, I = 27.3

Crystal structure
```
data_NdNpCr2O8
_chemical_formula_sum 'Nd1 Np1 Cr2 O8'
_cell_length_a 4.8698
_cell_length_b 4.8698
_cell_length_c 7.0447
_cell_angle_alpha 94.75
_cell_angle_beta 94.75
_cell_angle_gamma 84.77
_space_group_name_H-M_alt 'P 1'
_space_group_IT_number 1
_space_group_name_Hall 'P 1'
loop_
_atom_site_label
_atom_site_type_symbol
_atom_site_fract_x
_atom_site_fract_y
_atom_site_fract_z
_atom_site_occupancy
Nd1 Nd 0.0000 0.0000 0.0000 1
Np1 Np 0.0000 0.0000 0.5000 1
Cr1 Cr 0.4676 0.4676 0.7832 1
Cr2 Cr 0.5324 0.5324 0.2168 1
O1 O 0.2014 0.7859 0.7258 1
O2 O 0.2141 0.7986 0.2742 1
O3 O 0.2707 0.2707 0.5472 1
O4 O 0.3293 0.3293 0.0018 1
O5 O 0.6707 0.6707 0.9982 1
O6 O 0.7293 0.7293 0.4528 1
O7 O 0.7859 0.2014 0.7258 1
O8 O 0.7986 0.2141 0.2742 1
```